Structure and theoretical X-ray diffraction stick pattern of Mn2VPO7 (DFT lattice parameters and positions (GGA+U); Cu Ka).
Lines closer than 0.1° are merged.

Principal peaks in the range 5° ≤ 2θ ≤ 70°, in order of falling intensity:
- 3.231 Å, rel. 100
- 2.984 Å, rel. 34
- 1.700 Å, rel. 19
- 2.600 Å, rel. 15
- 1.534 Å, rel. 11
- 2.078 Å, rel. 11

Cell and atoms:
```
data_Mn2VPO7
_cell_length_a 6.598
_cell_length_b 8.810
_cell_length_c 4.866
_cell_angle_alpha 90.00
_cell_angle_beta 102.56
_cell_angle_gamma 90.00
_symmetry_space_group_name_H-M 'C 1 m 1'
_symmetry_Int_Tables_number 8
_symmetry_space_group_name_Hall 'C -2y'
loop_
_atom_site_label
_atom_site_fract_x
_atom_site_fract_y
_atom_site_fract_z
Mn1 0.000 0.191 0.000
V1 0.233 0.500 0.406
P1 0.270 0.000 0.595
O1 0.087 0.000 0.330
O2 0.235 0.335 0.213
O3 0.269 0.145 0.775
O4 0.374 0.500 0.752
O5 0.469 0.000 0.469
```